Computed PXRD pattern
Compound: Ba5B3BrO9
Radiation: Cu Kα, 1.54184 Å
Structure: the GGA-PBE geometry in the Materials Project
Intensities are scaled so that the largest is 100.

Largest 8 diffraction maxima, in order of rising 2θ, 2θ from 10° to 80°:
| d_spacing | I/Imax |
| --- | --- |
| 3.970 | 54.6 |
| 3.235 | 100.0 |
| 3.034 | 79.6 |
| 2.900 | 51.7 |
| 2.879 | 42.3 |
| 2.733 | 44.0 |
| 1.919 | 44.4 |
| 1.843 | 40.0 |

Structural model:
a b c (Å): 9.2316 9.2316 8.1464
angles (deg): 90.00 90.00 109.54
Fractional positions:
Ba: 0.1385 0.8615 0.7500
Ba: 0.1400 0.8600 0.2500
Ba: 0.2299 0.4927 0.0658
Ba: 0.2584 0.2584 0.5000
Ba: 0.4927 0.2299 0.9342
Ba: 0.5073 0.7701 0.4342
Ba: 0.7416 0.7416 0.0000
Ba: 0.7701 0.5073 0.5658
Ba: 0.8600 0.1400 0.7500
Ba: 0.8615 0.1385 0.2500
B: 0.0982 0.5167 0.4696
B: 0.1248 0.1248 0.0000
B: 0.4834 0.9018 0.0304
B: 0.5167 0.0982 0.5304
B: 0.8752 0.8752 0.5000
B: 0.9018 0.4834 0.9696
Br: 0.4445 0.5555 0.7500
Br: 0.5555 0.4445 0.2500
O: 0.0055 0.6299 0.0100
O: 0.0074 0.0074 0.5000
O: 0.0679 0.6497 0.5137
O: 0.1871 0.1877 0.1502
O: 0.1877 0.1871 0.8498
O: 0.2305 0.5290 0.3807
O: 0.3503 0.9321 0.9863
O: 0.3701 0.9945 0.4900
O: 0.4710 0.7695 0.1193
O: 0.5290 0.2305 0.6193
O: 0.6299 0.0055 0.9900
O: 0.6497 0.0679 0.4863
O: 0.7695 0.4710 0.8807
O: 0.8123 0.8129 0.3498
O: 0.8129 0.8123 0.6502
O: 0.9321 0.3503 0.0137
O: 0.9926 0.9926 0.0000
O: 0.9945 0.3701 0.5100


Computed PXRD pattern
Compound: Ba3B3Pb2BrO9
Radiation: Cu Kα, 1.54184 Å
Structure: the GGA-PBE geometry in the Materials Project
Intensities are scaled so that the largest is 100.

Largest 8 diffraction maxima, in order of rising 2θ, 2θ from 10° to 80°:
| d_spacing | I/Imax |
| --- | --- |
| 3.869 | 65.1 |
| 3.450 | 48.1 |
| 3.252 | 100.0 |
| 3.181 | 46.0 |
| 2.995 | 92.7 |
| 2.859 | 50.4 |
| 2.809 | 62.2 |
| 2.640 | 56.7 |

Structural model:
a b c (Å): 8.9748 8.9748 8.2074
angles (deg): 90.00 90.00 107.13
Fractional positions:
Ba: 0.1472 0.8528 0.7500
Ba: 0.1497 0.8503 0.2500
Ba: 0.2609 0.2609 0.5000
Ba: 0.7391 0.7391 0.0000
Ba: 0.8503 0.1497 0.7500
Ba: 0.8528 0.1472 0.2500
B: 0.0740 0.5068 0.4590
B: 0.1207 0.1207 0.0000
B: 0.4932 0.9260 0.0410
B: 0.5068 0.0740 0.5410
B: 0.8793 0.8793 0.5000
B: 0.9260 0.4932 0.9590
Pb: 0.2293 0.4706 0.0819
Pb: 0.4706 0.2293 0.9181
Pb: 0.5294 0.7707 0.4181
Pb: 0.7707 0.5294 0.5819
Br: 0.4199 0.5801 0.7500
Br: 0.5801 0.4199 0.2500
O: 0.0095 0.0095 0.5000
O: 0.0176 0.6402 0.0065
O: 0.0374 0.6398 0.5122
O: 0.1788 0.1894 0.1498
O: 0.1894 0.1788 0.8502
O: 0.2033 0.5254 0.3581
O: 0.3602 0.9626 0.9878
O: 0.3598 0.9824 0.4935
O: 0.4746 0.7967 0.1419
O: 0.5254 0.2033 0.6419
O: 0.6402 0.0176 0.9935
O: 0.6398 0.0374 0.4878
O: 0.7967 0.4746 0.8581
O: 0.8106 0.8212 0.3502
O: 0.8212 0.8106 0.6498
O: 0.9626 0.3602 0.0122
O: 0.9824 0.3598 0.5065
O: 0.9905 0.9905 0.0000


Computed PXRD pattern
Compound: Ba5B3CNO9
Radiation: Cu Kα, 1.54184 Å
Structure: the GGA-PBE geometry in the Materials Project
Intensities are scaled so that the largest is 100.

Largest 8 diffraction maxima, in order of rising 2θ, 2θ from 10° to 80°:
| d_spacing | I/Imax |
| --- | --- |
| 3.948 | 68.7 |
| 3.666 | 62.1 |
| 3.215 | 100.0 |
| 3.016 | 85.6 |
| 2.883 | 54.5 |
| 1.972 | 57.8 |
| 1.907 | 60.5 |
| 1.833 | 52.8 |

Structural model:
a b c (Å): 9.1813 9.1813 8.0952
angles (deg): 90.00 90.00 109.60
Fractional positions:
Ba: 0.1384 0.8616 0.7500
Ba: 0.1451 0.8549 0.2500
Ba: 0.2347 0.4934 0.5649
Ba: 0.2590 0.2590 0.0000
Ba: 0.4934 0.2347 0.4351
Ba: 0.5066 0.7653 0.9351
Ba: 0.7410 0.7410 0.5000
Ba: 0.7653 0.5066 0.0649
Ba: 0.8549 0.1451 0.7500
Ba: 0.8616 0.1384 0.2500
B: 0.0953 0.5150 0.9684
B: 0.1274 0.1274 0.5000
B: 0.4850 0.9047 0.5316
B: 0.5150 0.0953 0.0316
B: 0.8726 0.8726 0.0000
B: 0.9047 0.4850 0.4684
C: 0.3842 0.6158 0.2500
C: 0.6158 0.3842 0.7500
N: 0.4630 0.5370 0.2500
N: 0.5370 0.4630 0.7500
O: 0.0053 0.0053 0.0000
O: 0.0079 0.6321 0.5107
O: 0.0621 0.6480 0.0079
O: 0.1906 0.1923 0.3492
O: 0.1923 0.1906 0.6508
O: 0.2301 0.5272 0.8822
O: 0.3520 0.9379 0.4921
O: 0.3679 0.9921 0.9893
O: 0.4728 0.7699 0.6178
O: 0.5272 0.2301 0.1178
O: 0.6321 0.0079 0.4893
O: 0.6480 0.0621 0.9921
O: 0.7699 0.4728 0.3822
O: 0.8077 0.8094 0.1508
O: 0.8094 0.8077 0.8492
O: 0.9379 0.3520 0.5079
O: 0.9921 0.3679 0.0107
O: 0.9947 0.9947 0.5000